No. 1
Calculated powder diffractogram
Compound: BaCa6Au2
Radiation: Cu Kα (λ = 1.5418 Å)
Structure: a structure optimized by DFT (GGA-PBE)
Neutral-atom scattering factors, no anomalous dispersion.

a = 4.5794 Å, b = 11.7387 Å, c = 13.2820 Å
α = 90.00°, β = 90.00°, γ = 90.00°
Space group Immm (No. 71)
Inequivalent atoms, fractional coordinates:
Ba (0.0000, 0.0000, 0.0000)
Ca (0.0000, 0.2613, 0.3613)
Ca (0.0000, 0.5000, 0.1425)
Au (0.0000, 0.2945, 0.0000)

Top 10 peaks for 2θ from 15° to 90°, most intense first:
two_theta, Rel. int., h k l
20.5, 100, 1 0 1
28.0, 77, 1 0 3
30.5, 77, 0 4 0
32.0, 56, 1 2 3
33.0, 55, 1 3 2
40.7, 53, 0 0 6
23.7, 39, 0 3 1
15.1, 38, 0 2 0
50.6, 36, 2 4 0
39.2, 29, 1 0 5

---

No. 2
Calculated powder diffractogram
Compound: AsSBr2
Radiation: Cu Kα (λ = 1.5418 Å)
Structure: a structure optimized by DFT (GGA-PBE)
Neutral-atom scattering factors, no anomalous dispersion.

a = 6.9739 Å, b = 7.0253 Å, c = 15.6093 Å
α = 91.08°, β = 90.99°, γ = 101.15°
Space group P-1 (No. 2)
Inequivalent atoms, fractional coordinates:
As (0.2378, 0.0262, 0.2158)
As (0.2595, 0.5026, 0.2922)
S (0.0559, 0.2830, 0.2160)
S (0.4628, 0.7116, 0.2328)
Br (0.0082, 0.1484, 0.8785)
Br (0.0509, 0.6424, 0.3818)
Br (0.4146, 0.3188, 0.3896)
Br (0.4898, 0.1522, 0.1202)

Top 10 peaks for 2θ from 15° to 90°, most intense first:
two_theta, Rel. int., h k l
23.7, 100, 1 -1 3
26.0, 89, 1 1 -3
28.9, 61, 1 -2 2
26.8, 60, 1 1 3
21.6, 59, 0 1 3
21.2, 52, 0 1 -3
29.1, 46, -1 2 2
22.8, 45, 0 0 4
34.5, 42, 2 0 -4
33.6, 41, 1 2 2

---

No. 3
Calculated powder diffractogram
Compound: LiCo2Pt
Radiation: Cu Kα (λ = 1.5418 Å)
Structure: a structure optimized by DFT (GGA-PBE)
Neutral-atom scattering factors, no anomalous dispersion.

a = 2.8034 Å, b = 4.0244 Å, c = 4.3287 Å
α = 90.00°, β = 90.00°, γ = 90.00°
Space group Pmmm (No. 47)
Inequivalent atoms, fractional coordinates:
Li (0.0000, 0.0000, 0.0000)
Co (0.0000, 0.5000, 0.5000)
Co (0.5000, 0.0000, 0.5000)
Pt (0.5000, 0.5000, 0.0000)

Top 10 peaks for 2θ from 15° to 90°, most intense first:
two_theta, Rel. int., h k l
44.6, 100, 1 1 1
22.1, 53, 0 1 0
30.3, 48, 0 1 1
41.7, 30, 0 0 2
38.2, 26, 1 0 1
45.1, 24, 0 2 0
31.9, 21, 1 0 0
78.2, 18, 1 1 3
63.1, 17, 0 2 2
82.8, 16, 1 3 1

---

No. 4
Calculated powder diffractogram
Compound: Ca2VAs
Radiation: Cu Kα (λ = 1.5418 Å)
Structure: a structure optimized by DFT (GGA-PBE)
Neutral-atom scattering factors, no anomalous dispersion.

a = 10.6172 Å, b = 10.6172 Å, c = 4.8170 Å
α = 90.00°, β = 90.00°, γ = 90.00°
Space group I-42d (No. 122)
Inequivalent atoms, fractional coordinates:
Ca (0.0967, 0.7500, 0.1250)
V (0.0000, 0.0000, 0.5000)
As (0.0000, 0.0000, 0.0000)

Top 10 peaks for 2θ from 15° to 90°, most intense first:
two_theta, Rel. int., h k l
16.7, 100, 2 0 0
37.9, 74, 4 2 0
46.4, 45, 3 1 2
23.7, 42, 2 2 0
39.3, 41, 1 1 2
20.2, 37, 1 0 1
33.8, 32, 4 0 0
26.5, 28, 3 1 0
26.4, 25, 2 1 1
58.6, 22, 5 1 2

---

No. 5
Calculated powder diffractogram
Compound: Ba2LiOs2N6
Radiation: Cu Kα (λ = 1.5418 Å)
Structure: a structure optimized by DFT (GGA-PBE)
Neutral-atom scattering factors, no anomalous dispersion.

a = 6.0816 Å, b = 6.0816 Å, c = 18.6939 Å
α = 90.00°, β = 90.00°, γ = 120.00°
Space group R-3m (No. 166, hexagonal axes)
Inequivalent atoms, fractional coordinates:
Ba (0.0000, 0.0000, 0.2447)
Li (0.0000, 0.0000, 0.0000)
Os (0.0000, 0.0000, 0.4320)
N (0.0060, 0.5030, 0.2586)

Top 10 peaks for 2θ from 15° to 90°, most intense first:
two_theta, Rel. int., h k l
29.4, 100, 1 1 0
17.5, 83, 1 0 1
41.5, 52, 1 1 6
28.7, 34, 0 0 6
52.1, 24, 3 0 0
60.5, 17, 0 3 6
34.4, 16, 0 2 1
68.7, 16, 2 2 6
60.9, 14, 2 2 0
45.8, 14, 2 1 1

---

No. 6
Calculated powder diffractogram
Compound: Ca2Ni12Ge7
Radiation: Cu Kα (λ = 1.5418 Å)
Structure: a structure optimized by DFT (GGA-PBE)
Neutral-atom scattering factors, no anomalous dispersion.

a = 9.4555 Å, b = 9.4555 Å, c = 3.7852 Å
α = 90.00°, β = 90.00°, γ = 120.00°
Space group P-6 (No. 174)
Inequivalent atoms, fractional coordinates:
Ca (0.0000, 0.0000, 0.0000)
Ca (0.3333, 0.6667, 0.5000)
Ni (0.0367, 0.2842, 0.5000)
Ni (0.1158, 0.7326, 0.0000)
Ni (0.3855, 0.1840, 0.0000)
Ni (0.5569, 0.4248, 0.5000)
Ge (0.0599, 0.4576, 0.0000)
Ge (0.2622, 0.2306, 0.5000)
Ge (0.6667, 0.3333, 0.0000)

Top 10 peaks for 2θ from 15° to 90°, most intense first:
two_theta, Rel. int., h k l
37.5, 100, 2 1 1
46.6, 65, 1 3 1
48.1, 38, 0 0 2
51.1, 26, 1 4 0
45.2, 23, 2 2 1
40.8, 20, 3 0 1
54.5, 18, 3 2 1
72.8, 17, 1 4 2
18.8, 16, 1 1 0
50.7, 14, 4 0 1

---

No. 7
Calculated powder diffractogram
Compound: LaScBr
Radiation: Cu Kα (λ = 1.5418 Å)
Structure: a structure optimized by DFT (GGA-PBE)
Neutral-atom scattering factors, no anomalous dispersion.

a = 6.2897 Å, b = 3.6324 Å, c = 14.7844 Å
α = 90.00°, β = 98.09°, γ = 90.00°
Space group Cm (No. 8)
Inequivalent atoms, fractional coordinates:
La (0.0000, 0.0000, 0.0000)
La (0.2363, 0.5000, 0.2105)
Sc (0.0573, 0.5000, 0.6796)
Sc (0.3377, 0.5000, 0.5185)
Br (0.1261, 0.0000, 0.3822)
Br (0.2694, 0.0000, 0.8168)

Top 10 peaks for 2θ from 15° to 90°, most intense first:
two_theta, Rel. int., h k l
31.8, 100, 2 0 -3
36.4, 51, 2 0 3
32.8, 51, 2 0 2
50.2, 43, 0 2 0
29.5, 40, 1 1 1
30.5, 24, 0 0 5
59.9, 21, 3 1 4
28.4, 20, 1 1 0
63.9, 16, 3 1 -7
60.7, 15, 2 2 -3

---

No. 8
Calculated powder diffractogram
Compound: Li3Be2Pt2
Radiation: Cu Kα (λ = 1.5418 Å)
Structure: a structure optimized by DFT (GGA-PBE)
Neutral-atom scattering factors, no anomalous dispersion.

a = 6.9120 Å, b = 3.9926 Å, c = 6.4315 Å
α = 90.00°, β = 111.05°, γ = 90.00°
Space group C2/m (No. 12)
Inequivalent atoms, fractional coordinates:
Li (0.0000, 0.0000, 0.0000)
Li (0.1502, 0.0000, 0.4514)
Be (0.2127, 0.5000, 0.1381)
Pt (0.0841, 0.5000, 0.7512)

Top 10 peaks for 2θ from 15° to 90°, most intense first:
two_theta, Rel. int., h k l
26.3, 100, 2 0 -1
36.0, 46, 2 0 1
45.4, 37, 0 2 0
55.3, 35, 3 1 1
29.8, 32, 0 0 2
43.9, 31, 2 0 -3
27.6, 27, 1 1 -1
32.7, 20, 1 1 1
53.2, 15, 2 2 -1
72.5, 12, 5 1 -2

---

No. 9
Calculated powder diffractogram
Compound: Li2WSe
Radiation: Cu Kα (λ = 1.5418 Å)
Structure: a structure optimized by DFT (GGA-PBE)
Neutral-atom scattering factors, no anomalous dispersion.

a = 3.2491 Å, b = 4.3992 Å, c = 8.9812 Å
α = 90.00°, β = 90.00°, γ = 90.00°
Space group Cmmm (No. 65)
Inequivalent atoms, fractional coordinates:
Li (0.0000, 0.0000, 0.2369)
W (0.0000, 0.5000, 0.5000)
Se (0.0000, 0.5000, 0.0000)

Top 10 peaks for 2θ from 15° to 90°, most intense first:
two_theta, Rel. int., h k l
19.8, 100, 0 0 2
39.9, 78, 1 1 2
34.3, 50, 1 1 0
53.8, 28, 1 1 4
45.9, 22, 0 2 2
40.2, 19, 0 0 4
41.0, 18, 0 2 0
35.8, 15, 1 1 1
72.8, 13, 1 1 6
74.0, 13, 1 3 2

---

No. 10
Calculated powder diffractogram
Compound: LiAuO2
Radiation: Cu Kα (λ = 1.5418 Å)
Structure: a structure optimized by DFT (GGA-PBE)
Neutral-atom scattering factors, no anomalous dispersion.

a = 4.3020 Å, b = 4.3020 Å, c = 10.7391 Å
α = 90.00°, β = 90.00°, γ = 90.00°
Space group I4_122 (No. 98)
Inequivalent atoms, fractional coordinates:
Li (0.0000, 0.0000, 0.0000)
Au (0.0000, 0.0000, 0.5000)
O (0.2468, 0.7500, 0.1250)

Top 10 peaks for 2θ from 15° to 90°, most intense first:
two_theta, Rel. int., h k l
22.3, 100, 1 0 1
33.9, 80, 1 1 2
32.5, 40, 1 0 3
48.0, 27, 2 1 1
54.7, 27, 2 0 4
54.1, 19, 2 1 3
71.5, 19, 3 1 2
42.0, 16, 2 0 0
60.0, 16, 1 1 6
47.3, 14, 1 0 5